Record 1
Diffraction record for BaHoAuSe3. The X-ray powder pattern is computed, not measured: it uses the GGA-PBE geometry in OQMD and Cu Kα.
Peak positions follow from Bragg's law for the DFT cell and can differ from measured ones.

Main lines, low angle first (2θ from 5° to 70°):
2θ = 12.2°, I = 91
2θ = 27.0°, I = 31
2θ = 30.4°, I = 43
2θ = 31.1°, I = 76
2θ = 33.3°, I = 26
2θ = 34.5°, I = 100
2θ = 43.2°, I = 47
2θ = 43.7°, I = 28

```
data_BaHoAuSe3
_chemical_formula_sum 'Ba2 Ho2 Au2 Se6'
_cell_length_a 8.2942
_cell_length_b 4.1913
_cell_length_c 10.0005
_cell_angle_alpha 90.00
_cell_angle_beta 107.34
_cell_angle_gamma 90.00
_space_group_name_H-M_alt 'P 1 21/m 1'
_space_group_IT_number 11
loop_
_space_group_symop_operation_xyz
'x,y,z'
'-x,-y,-z'
'-x,y+1/2,-z'
'x,-y+1/2,z'
loop_
_atom_site_label
_atom_site_type_symbol
_atom_site_fract_x
_atom_site_fract_y
_atom_site_fract_z
_atom_site_occupancy
Ba1 Ba 0.2359 0.2500 0.2796 1
Ho1 Ho 0.3121 0.7500 0.8401 1
Au1 Au 0.0975 0.2500 0.5998 1
Se1 Se 0.0792 0.2500 0.8572 1
Se2 Se 0.2790 0.7500 0.5466 1
Se3 Se 0.4415 0.7500 0.1390 1
```

---

Record 2
Diffraction record for Sm2AlNiIr. The X-ray powder pattern is computed, not measured: it uses the GGA-PBE geometry in OQMD and Cu Kα.
Peak positions follow from Bragg's law for the DFT cell and can differ from measured ones.

Main lines, low angle first (2θ from 5° to 70°):
2θ = 18.7°, I = 48
2θ = 26.5°, I = 76
2θ = 33.6°, I = 100
2θ = 37.6°, I = 87
2θ = 38.0°, I = 81
2θ = 39.9°, I = 91
2θ = 58.9°, I = 45
2θ = 66.7°, I = 47

```
data_Sm2AlNiIr
_chemical_formula_sum 'Sm4 Al2 Ni2 Ir2'
_cell_length_a 4.1846
_cell_length_b 8.7552
_cell_length_c 5.6389
_cell_angle_alpha 90.00
_cell_angle_beta 90.00
_cell_angle_gamma 90.00
_space_group_name_H-M_alt 'I m m 2'
_space_group_IT_number 44
loop_
_space_group_symop_operation_xyz
'x,y,z'
'-x,-y,z'
'-x,y,z'
'x,-y,z'
'x+1/2,y+1/2,z+1/2'
'-x+1/2,-y+1/2,z+1/2'
'-x+1/2,y+1/2,z+1/2'
'x+1/2,-y+1/2,z+1/2'
loop_
_atom_site_label
_atom_site_type_symbol
_atom_site_fract_x
_atom_site_fract_y
_atom_site_fract_z
_atom_site_occupancy
Sm1 Sm 0.0000 0.1984 0.0000 1
Al1 Al 0.0000 0.0000 0.4973 1
Ni1 Ni 0.0000 0.5000 0.7449 1
Ir1 Ir 0.0000 0.5000 0.2642 1
```

---

What did the first record say?
Diffraction record for BaHoAuSe3. The X-ray powder pattern is computed, not measured: it uses the GGA-PBE geometry in OQMD and Cu Kα.
Peak positions follow from Bragg's law for the DFT cell and can differ from measured ones.

Main lines, low angle first (2θ from 5° to 70°):
2θ = 12.2°, I = 91
2θ = 27.0°, I = 31
2θ = 30.4°, I = 43
2θ = 31.1°, I = 76
2θ = 33.3°, I = 26
2θ = 34.5°, I = 100
2θ = 43.2°, I = 47
2θ = 43.7°, I = 28

```
data_BaHoAuSe3
_chemical_formula_sum 'Ba2 Ho2 Au2 Se6'
_cell_length_a 8.2942
_cell_length_b 4.1913
_cell_length_c 10.0005
_cell_angle_alpha 90.00
_cell_angle_beta 107.34
_cell_angle_gamma 90.00
_space_group_name_H-M_alt 'P 1 21/m 1'
_space_group_IT_number 11
loop_
_space_group_symop_operation_xyz
'x,y,z'
'-x,-y,-z'
'-x,y+1/2,-z'
'x,-y+1/2,z'
loop_
_atom_site_label
_atom_site_type_symbol
_atom_site_fract_x
_atom_site_fract_y
_atom_site_fract_z
_atom_site_occupancy
Ba1 Ba 0.2359 0.2500 0.2796 1
Ho1 Ho 0.3121 0.7500 0.8401 1
Au1 Au 0.0975 0.2500 0.5998 1
Se1 Se 0.0792 0.2500 0.8572 1
Se2 Se 0.2790 0.7500 0.5466 1
Se3 Se 0.4415 0.7500 0.1390 1
```